Theoretical X-ray powder pattern of Na3Mn2P2C2O14 for CuKα, from a PBE+U-relaxed structure.

Most intense lines, 2θ from 10° to 90°, low angle first:
hkl, 2θ/deg, I (rel.)
1 1 0, 16.65, 100
0 1 2, 21.80, 48
2 0 -2, 25.57, 88
0 2 0, 27.16, 94
2 2 0, 33.62, 74
0 0 4, 34.50, 54

Atomic structure:
Unit cell a=9.105 b=6.566 c=10.406 alpha=90.00 beta=91.96 gamma=90.00
Fractional positions:
Na: 0.000 0.205 0.000
Na: 0.000 0.795 0.500
Na: 0.526 0.258 0.747
Na: 0.526 0.742 0.247
Na: 0.532 0.265 0.230
Na: 0.532 0.735 0.730
Mn: 0.108 0.498 0.226
Mn: 0.108 0.502 0.726
Mn: 0.404 0.008 0.512
Mn: 0.404 0.992 0.012
P: 0.187 0.002 0.762
P: 0.187 0.998 0.262
P: 0.330 0.492 0.980
P: 0.330 0.508 0.480
C: 0.672 0.008 0.480
C: 0.672 0.992 0.980
C: 0.845 0.500 0.260
C: 0.845 0.500 0.760
O: 0.091 0.184 0.223
O: 0.091 0.816 0.723
O: 0.096 0.192 0.725
O: 0.096 0.808 0.225
O: 0.184 0.472 0.050
O: 0.184 0.528 0.550
O: 0.221 0.004 0.911
O: 0.221 0.996 0.411
O: 0.298 0.496 0.331
O: 0.298 0.504 0.831
O: 0.337 0.004 0.194
O: 0.337 0.996 0.694
O: 0.419 0.320 0.526
O: 0.419 0.680 0.026
O: 0.432 0.307 0.009
O: 0.432 0.693 0.509
O: 0.571 0.017 0.385
O: 0.571 0.983 0.885
O: 0.607 0.008 0.593
O: 0.607 0.992 0.093
O: 0.709 0.496 0.777
O: 0.709 0.504 0.277
O: 0.805 0.002 0.966
O: 0.805 0.998 0.466
O: 0.904 0.484 0.148
O: 0.904 0.516 0.648
O: 0.946 0.486 0.853
O: 0.946 0.514 0.353